Structure and simulated PXRD pattern of Tb6Pm3Er2In (a GGA-PBE-relaxed structure; Cu Kα, 1.54184 Å).
Neutral-atom scattering factors, no anomalous dispersion.

Crystal structure
```
Tb6Pm3Er2In
1.0
3.0740 -5.3306 0.0000
3.0740 5.3306 0.0000
-2.0665 0.0000 11.4756
Tb Pm Er In
6 3 2 1
Cartesian
0.9967 1.7472 2.7869
-0.0380 0.0000 8.6700
0.9967 -1.7472 2.7869
3.0848 1.7472 8.6887
4.1196 0.0000 2.8056
3.0848 -1.7472 8.6887
2.0408 3.5451 5.7378
2.0408 0.0000 5.7378
2.0408 -3.5451 5.7378
3.0740 1.7690 0.0000
3.0740 -1.7690 0.0000
0.0000 0.0000 0.0000
```

Largest 10 diffraction maxima, most intense first, 2θ from 10° to 90°:
d_spacing	I/Imax
2.896	1000
2.502	666
2.869	321
1.776	240
1.763	229
1.511	186
1.514	142
1.502	133
1.448	121
1.152	117

Structure and simulated PXRD pattern of PmErTm2In4 (a GGA-PBE-relaxed structure; Cu Kα, 1.54184 Å).
Neutral-atom scattering factors, no anomalous dispersion.

Crystal structure
```
PmErTm2In4
1.0
2.6537 1.5321 8.7011
-2.6537 1.5321 8.7011
0.0000 -3.0643 8.7011
Pm Er Tm In
1 1 2 4
Cartesian
0.0000 0.0000 0.0000
0.0000 0.0000 13.0517
0.0000 0.0000 6.5123
0.0000 0.0000 19.5911
0.0000 0.0000 3.2978
0.0000 0.0000 9.8284
0.0000 0.0000 16.2750
0.0000 0.0000 22.8056
```

Largest 10 diffraction maxima, most intense first, 2θ from 10° to 90°:
d_spacing	I/Imax
2.657	1000
1.533	276
1.879	179
1.537	92
1.187	79
1.189	79
1.327	57
1.330	57
3.758	31
1.682	8